# 1
# Zn2NCl
Calculated X-ray diffraction stick pattern, Cu Kα X-rays. Input: DFT lattice parameters and positions (PBE).
No peak broadening, texture or thermal motion is included.

Crystal structure
abc: 6.189 7.443 5.997
angles: 90.00 90.00 90.00
Positions (direct):
Zn (0.029, 0.052, 0.000)
Zn (0.122, 0.675, 0.150)
Zn (0.378, 0.175, 0.650)
Zn (0.471, 0.552, 0.500)
Zn (0.529, 0.448, 0.000)
Zn (0.622, 0.825, 0.150)
Zn (0.878, 0.325, 0.650)
Zn (0.971, 0.948, 0.500)
N (0.076, 0.127, 0.700)
N (0.424, 0.627, 0.200)
N (0.576, 0.373, 0.700)
N (0.924, 0.873, 0.200)
Cl (0.082, 0.622, 0.700)
Cl (0.418, 0.122, 0.200)
Cl (0.582, 0.878, 0.700)
Cl (0.918, 0.378, 0.200)

Most intense lines, 2θ = 10–90°, in order of rising 2θ:
| 2θ/deg | I_rel |
| --- | --- |
| 19.00 | 42.5 |
| 27.98 | 60.2 |
| 28.85 | 49.7 |
| 29.80 | 46.8 |
| 31.30 | 40.7 |
| 31.78 | 48.0 |
| 35.38 | 100.0 |
| 38.56 | 30.6 |
| 39.12 | 48.1 |
| 39.30 | 26.3 |
| 42.00 | 25.8 |
| 43.76 | 40.7 |

---

# 2
# ZnN2Cl4
Calculated X-ray diffraction stick pattern, Cu Kα X-rays. Input: DFT lattice parameters and positions (PBE).
No peak broadening, texture or thermal motion is included.

Crystal structure
abc: 8.452 8.800 13.886
angles: 90.00 90.00 90.00
Positions (direct):
Zn (0.118, 0.250, 0.124)
Zn (0.382, 0.750, 0.624)
Zn (0.618, 0.250, 0.376)
Zn (0.882, 0.750, 0.876)
N (0.046, 0.750, 0.365)
N (0.134, 0.750, 0.898)
N (0.366, 0.250, 0.398)
N (0.454, 0.250, 0.865)
N (0.546, 0.750, 0.135)
N (0.634, 0.750, 0.602)
N (0.866, 0.250, 0.102)
N (0.954, 0.250, 0.635)
Cl (0.183, 0.017, 0.129)
Cl (0.183, 0.483, 0.129)
Cl (0.185, 0.250, 0.426)
Cl (0.233, 0.750, 0.389)
Cl (0.267, 0.250, 0.889)
Cl (0.315, 0.750, 0.926)
Cl (0.317, 0.517, 0.629)
Cl (0.317, 0.983, 0.629)
Cl (0.683, 0.017, 0.371)
Cl (0.683, 0.483, 0.371)
Cl (0.685, 0.250, 0.074)
Cl (0.733, 0.750, 0.111)
Cl (0.767, 0.250, 0.611)
Cl (0.815, 0.750, 0.574)
Cl (0.817, 0.517, 0.871)
Cl (0.817, 0.983, 0.871)

Most intense lines, 2θ = 10–90°, in order of rising 2θ:
| 2θ/deg | I_rel |
| --- | --- |
| 11.91 | 52.0 |
| 12.26 | 39.3 |
| 19.38 | 87.8 |
| 20.18 | 41.0 |
| 21.02 | 32.6 |
| 21.69 | 29.1 |
| 21.97 | 85.8 |
| 24.14 | 39.7 |
| 25.66 | 100.0 |
| 26.19 | 74.6 |
| 28.60 | 40.1 |
| 41.03 | 31.0 |

---

# 3
# ZrNCl
Calculated X-ray diffraction stick pattern, Cu Kα X-rays. Input: DFT lattice parameters and positions (PBE).
No peak broadening, texture or thermal motion is included.

Crystal structure
abc: 9.893 9.893 9.893
angles: 21.24 21.24 21.24
Positions (direct):
Zr (0.212, 0.212, 0.212)
Zr (0.788, 0.788, 0.788)
N (0.137, 0.137, 0.137)
N (0.863, 0.863, 0.863)
Cl (0.392, 0.392, 0.392)
Cl (0.608, 0.608, 0.608)

Most intense lines, 2θ = 10–90°, in order of rising 2θ:
| 2θ/deg | I_rel |
| --- | --- |
| 28.94 | 59.7 |
| 32.28 | 100.0 |
| 35.76 | 37.1 |
| 37.21 | 19.6 |
| 42.32 | 27.5 |
| 44.79 | 15.1 |
| 50.04 | 42.6 |
| 50.98 | 12.4 |
| 60.81 | 14.9 |
| 61.82 | 9.8 |
| 63.98 | 21.7 |
| 82.53 | 12.3 |